Structure and simulated powder diffractogram of Cs2RhBr7 (a structure optimized by DFT (PBE); Cu Ka).
No peak broadening, texture or thermal motion is included.

```
data_Cs2RhBr7
_symmetry_space_group_name_H-M 'I 4/m m m'
_symmetry_Int_Tables_number 139
_symmetry_space_group_name_Hall '-I 4 2'
_cell_length_a 7.784
_cell_length_b 7.784
_cell_length_c 11.970
_cell_angle_alpha 90.00
_cell_angle_beta 90.00
_cell_angle_gamma 90.00
loop_
_atom_site_label
_atom_site_type_symbol
_atom_site_fract_x
_atom_site_fract_y
_atom_site_fract_z
_atom_site_occupancy
Cs1 Cs 0.000 0.500 0.250 1
Rh1 Rh 0.000 0.000 0.000 1
Br1 Br 0.000 0.000 0.208 1
Br2 Br 0.000 0.000 0.500 1
Br3 Br 0.231 0.231 0.000 1
```

The 8 most intense peaks (2θ from 10° to 90°), low angle first:
hkl	d_spacing	2θ/deg	Rel. int.
1 1 2	4.051	21.94	58
2 0 2	3.263	27.34	100
0 0 4	2.992	29.86	51
2 2 0	2.752	32.54	94
2 2 4	2.026	44.74	63
4 0 0	1.946	46.68	32
4 2 2	1.671	54.94	24
4 0 4	1.631	56.40	30


Structure and simulated powder diffractogram of Cs3Ru2Br9 (a structure optimized by DFT (PBE); Cu Ka).
No peak broadening, texture or thermal motion is included.

```
data_Cs3Ru2Br9
_symmetry_space_group_name_H-M 'P 63/m m c'
_symmetry_Int_Tables_number 194
_symmetry_space_group_name_Hall '-P 6c 2c'
_cell_length_a 7.7375
_cell_length_b 7.7375
_cell_length_c 19.3858
_cell_angle_alpha 90.00
_cell_angle_beta 90.00
_cell_angle_gamma 120.00
loop_
_atom_site_label
_atom_site_type_symbol
_atom_site_fract_x
_atom_site_fract_y
_atom_site_fract_z
_atom_site_occupancy
Cs1 Cs 0.0000 0.0000 0.2500 1
Cs2 Cs 0.3333 0.6667 0.0669 1
Ru1 Ru 0.3333 0.6667 0.6699 1
Br1 Br 0.0297 0.5148 0.7500 1
Br2 Br 0.1794 0.3588 0.5962 1
```

The 8 most intense peaks (2θ from 10° to 90°), low angle first:
hkl	d_spacing	2θ/deg	Rel. int.
1 0 1	6.333	13.98	60
1 1 0	3.869	22.99	33
1 0 5	3.356	26.56	31
0 0 6	3.231	27.61	35
2 0 2	3.167	28.18	70
2 0 3	2.974	30.04	100
2 0 4	2.756	32.49	75
2 2 0	1.934	46.97	58


Structure and simulated powder diffractogram of Cs2RuBr5 (a structure optimized by DFT (PBE); Cu Ka).
No peak broadening, texture or thermal motion is included.

```
data_Cs2RuBr5
_symmetry_space_group_name_H-M 'I 4 m m'
_symmetry_Int_Tables_number 107
_symmetry_space_group_name_Hall 'I 4 -2'
_cell_length_a 7.988
_cell_length_b 7.988
_cell_length_c 10.193
_cell_angle_alpha 90.00
_cell_angle_beta 90.00
_cell_angle_gamma 90.00
loop_
_atom_site_label
_atom_site_type_symbol
_atom_site_fract_x
_atom_site_fract_y
_atom_site_fract_z
_atom_site_occupancy
Cs1 Cs 0.000 0.500 0.000 1
Ru1 Ru 0.000 0.000 0.227 1
Br1 Br 0.000 0.000 0.991 1
Br2 Br 0.221 0.221 0.250 1
```

The 8 most intense peaks (2θ from 10° to 90°), low angle first:
hkl	d_spacing	2θ/deg	Rel. int.
1 0 1	6.287	14.09	60
1 1 2	3.784	23.51	44
2 0 2	3.144	28.39	100
2 2 0	2.824	31.68	66
0 0 4	2.548	35.22	26
4 0 0	1.997	45.41	21
2 2 4	1.892	48.09	39
4 2 2	1.685	54.44	26


Structure and simulated powder diffractogram of Cs5S2Br2 (a structure optimized by DFT (PBE); Cu Ka).
No peak broadening, texture or thermal motion is included.

```
data_Cs5S2Br2
_symmetry_space_group_name_H-M 'C m c e'
_symmetry_Int_Tables_number 64
_symmetry_space_group_name_Hall '-C 2ac 2'
_cell_length_a 18.112
_cell_length_b 9.321
_cell_length_c 9.352
_cell_angle_alpha 90.00
_cell_angle_beta 90.00
_cell_angle_gamma 90.00
loop_
_atom_site_label
_atom_site_type_symbol
_atom_site_fract_x
_atom_site_fract_y
_atom_site_fract_z
_atom_site_occupancy
Cs1 Cs 0.000 0.000 0.000 1
Cs2 Cs 0.128 0.162 0.340 1
S1 S 0.000 0.124 0.624 1
Br1 Br 0.202 0.000 0.000 1
```

The 8 most intense peaks (2θ from 10° to 90°), low angle first:
hkl	d_spacing	2θ/deg	Rel. int.
0 2 1	4.171	21.30	46
1 1 2	4.073	21.82	37
3 1 2	3.436	25.93	57
0 2 2	3.301	27.01	34
4 2 0	3.250	27.44	71
5 1 1	3.176	28.10	48
4 2 1	3.068	29.11	69
1 3 1	2.914	30.68	100


Structure and simulated powder diffractogram of Cs2SBr (a structure optimized by DFT (PBE); Cu Ka).
No peak broadening, texture or thermal motion is included.

```
data_Cs2SBr
_symmetry_space_group_name_H-M 'F m -3 m'
_symmetry_Int_Tables_number 225
_symmetry_space_group_name_Hall '-F 4 2 3'
_cell_length_a 8.678
_cell_length_b 8.678
_cell_length_c 8.678
_cell_angle_alpha 90.00
_cell_angle_beta 90.00
_cell_angle_gamma 90.00
loop_
_atom_site_label
_atom_site_type_symbol
_atom_site_fract_x
_atom_site_fract_y
_atom_site_fract_z
_atom_site_occupancy
Cs1 Cs 0.250 0.250 0.250 1
S1 S 0.000 0.000 0.000 1
Br1 Br 0.000 0.000 0.500 1
```

The 8 most intense peaks (2θ from 10° to 90°), low angle first:
hkl	d_spacing	2θ/deg	Rel. int.
2 0 0	4.339	20.47	17
2 2 0	3.068	29.10	100
4 0 0	2.170	41.63	18
4 2 0	1.941	46.82	8
4 2 2	1.771	51.60	39
4 4 0	1.534	60.33	12
6 2 0	1.372	68.37	17
6 4 2	1.160	83.33	20


Structure and simulated powder diffractogram of CsSrSBr (a structure optimized by DFT (PBE); Cu Ka).
No peak broadening, texture or thermal motion is included.

```
data_CsSrSBr
_symmetry_space_group_name_H-M 'R 3 m'
_symmetry_Int_Tables_number 160
_symmetry_space_group_name_Hall 'R 3 -2"'
_cell_length_a 4.5065
_cell_length_b 4.5065
_cell_length_c 25.2656
_cell_angle_alpha 90.00
_cell_angle_beta 90.00
_cell_angle_gamma 120.00
loop_
_atom_site_label
_atom_site_type_symbol
_atom_site_fract_x
_atom_site_fract_y
_atom_site_fract_z
_atom_site_occupancy
Cs1 Cs 0.0000 0.0000 0.0000 1
Sr1 Sr 0.0000 0.0000 0.1876 1
S1 S 0.0000 0.0000 0.5753 1
Br1 Br 0.0000 0.0000 0.7746 1
```

The 8 most intense peaks (2θ from 10° to 90°), low angle first:
hkl	d_spacing	2θ/deg	Rel. int.
1 0 1	3.857	23.06	38
1 0 4	3.320	26.85	42
0 1 5	3.089	28.91	100
1 1 0	2.253	40.01	46
1 0 10	2.121	42.63	23
2 0 5	1.820	50.11	21
1 1 9	1.757	52.04	16
1 2 5	1.416	65.97	18


Structure and simulated powder diffractogram of Cs5TaS4Br2 (a structure optimized by DFT (PBE); Cu Ka).
No peak broadening, texture or thermal motion is included.

```
data_Cs5TaS4Br2
_symmetry_space_group_name_H-M 'A m m 2'
_symmetry_Int_Tables_number 38
_cell_length_a 10.521
_cell_length_b 12.116
_cell_length_c 8.408
_cell_angle_alpha 90.00
_cell_angle_beta 90.00
_cell_angle_gamma 90.00
loop_
_symmetry_equiv_pos_as_xyz
'x,y,z'
'-x,-y,z'
'-x,y,z'
'x,-y,z'
'x,y+1/2,z+1/2'
'-x,-y+1/2,z+1/2'
'-x,y+1/2,z+1/2'
'x,-y+1/2,z+1/2'
loop_
_atom_site_label
_atom_site_type_symbol
_atom_site_fract_x
_atom_site_fract_y
_atom_site_fract_z
_atom_site_occupancy
Cs1 Cs 0.000 0.000 0.000 1
Cs2 Cs 0.273 0.192 0.466 1
Ta1 Ta 0.500 0.000 0.947 1
S1 S 0.322 0.000 0.106 1
S2 S 0.500 0.151 0.784 1
Br1 Br 0.000 0.229 0.721 1
```

The 8 most intense peaks (2θ from 10° to 90°), low angle first:
hkl	d_spacing	2θ/deg	Rel. int.
0 0 2	4.190	21.20	100
2 2 0	3.972	22.38	28
0 3 1	3.641	24.45	72
2 0 2	3.284	27.16	20
2 2 2	2.887	30.97	87
4 0 0	2.629	34.10	26
2 5 1	2.130	42.43	53
2 5 3	1.732	52.87	31


Structure and simulated powder diffractogram of Cs3SbBr7 (a structure optimized by DFT (PBE); Cu Ka).
No peak broadening, texture or thermal motion is included.

```
data_Cs3SbBr7
_symmetry_space_group_name_H-M 'P 4/m b m'
_symmetry_Int_Tables_number 127
_symmetry_space_group_name_Hall '-P 4 2ab'
_cell_length_a 11.041
_cell_length_b 11.041
_cell_length_c 7.705
_cell_angle_alpha 90.00
_cell_angle_beta 90.00
_cell_angle_gamma 90.00
loop_
_atom_site_label
_atom_site_type_symbol
_atom_site_fract_x
_atom_site_fract_y
_atom_site_fract_z
_atom_site_occupancy
Cs1 Cs 0.000 0.000 0.000 1
Cs2 Cs 0.175 0.325 0.500 1
Sb1 Sb 0.000 0.500 0.000 1
Br1 Br 0.000 0.000 0.500 1
Br2 Br 0.119 0.619 0.256 1
Br3 Br 0.174 0.326 0.000 1
```

The 8 most intense peaks (2θ from 10° to 90°), low angle first:
hkl	d_spacing	2θ/deg	Rel. int.
1 1 0	7.807	11.33	25
2 0 1	4.488	19.78	24
2 2 0	3.904	22.78	39
3 1 0	3.491	25.52	53
2 1 2	3.037	29.41	100
2 2 2	2.742	32.66	30
4 0 2	2.244	40.19	21
4 2 2	2.079	43.54	23